1.
# U2WO8
Computed powder XRD pattern, Cu Kα, 1.54184 Å. Input: a GGA+U-relaxed structure.
Peak positions follow from Bragg's law for the DFT cell and can differ from measured ones.

Structure:
a b c (Å): 6.830 23.701 4.061
angles (deg): 90.00 90.00 90.00
Fractional positions:
U1 0.174 0.216 0.000
U2 0.196 0.377 0.000
U3 0.304 0.877 0.000
U4 0.326 0.716 0.000
U5 0.674 0.284 0.000
U6 0.696 0.123 0.000
U7 0.804 0.623 0.000
U8 0.826 0.784 0.000
W1 0.175 0.048 0.000
W2 0.325 0.548 0.000
W3 0.675 0.452 0.000
W4 0.825 0.952 0.000
O1 0.025 0.688 0.000
O2 0.062 0.561 0.000
O3 0.081 0.123 0.000
O4 0.139 0.965 0.000
O5 0.152 0.794 0.000
O6 0.168 0.046 0.500
O7 0.179 0.216 0.500
O8 0.198 0.378 0.500
O9 0.302 0.878 0.500
O10 0.321 0.716 0.500
O11 0.332 0.546 0.500
O12 0.348 0.294 0.000
O13 0.361 0.465 0.000
O14 0.419 0.623 0.000
O15 0.438 0.061 0.000
O16 0.475 0.188 0.000
O17 0.525 0.812 0.000
O18 0.562 0.939 0.000
O19 0.581 0.377 0.000
O20 0.639 0.535 0.000
O21 0.652 0.706 0.000
O22 0.668 0.454 0.500
O23 0.679 0.284 0.500
O24 0.698 0.122 0.500
O25 0.802 0.622 0.500
O26 0.821 0.784 0.500
O27 0.832 0.954 0.500
O28 0.848 0.206 0.000
O29 0.861 0.035 0.000
O30 0.919 0.877 0.000
O31 0.938 0.439 0.000
O32 0.975 0.312 0.000

Peak list (10 most intense, 5 to 70 degrees two-theta, in order of rising 2θ)
2θ/deg	I (rel.)
21.89	80
26.07	100
26.37	25
34.29	71
34.52	18
44.63	16
45.94	13
51.46	15
52.41	30
53.49	13

***

2.
# V2O3
Computed powder XRD pattern, Cu Kα, 1.54184 Å. Input: a GGA+U-relaxed structure.
Peak positions follow from Bragg's law for the DFT cell and can differ from measured ones.

Structure:
a b c (Å): 6.060 6.060 5.761
angles (deg): 116.60 116.60 54.59
Fractional positions:
V1 0.194 0.195 0.448
V2 0.195 0.194 0.948
V3 0.805 0.806 0.052
V4 0.806 0.805 0.552
O1 0.002 0.998 0.750
O2 0.048 0.486 0.266
O3 0.486 0.048 0.766
O4 0.514 0.952 0.234
O5 0.952 0.514 0.734
O6 0.998 0.002 0.250

Peak list (10 most intense, 5 to 70 degrees two-theta, in order of rising 2θ)
2θ/deg	I (rel.)
18.60	63
19.08	100
31.07	22
32.21	21
33.08	25
36.14	11
36.76	12
45.36	43
49.15	13
51.82	16

***

3.
# V6O13
Computed powder XRD pattern, Cu Kα, 1.54184 Å. Input: a GGA+U-relaxed structure.
Peak positions follow from Bragg's law for the DFT cell and can differ from measured ones.

Structure:
a b c (Å): 10.300 3.743 12.160
angles (deg): 90.00 100.85 90.00
Fractional positions:
V1 0.001 0.250 0.400
V2 0.002 0.750 0.897
V3 0.364 0.250 0.163
V4 0.364 0.750 0.663
V5 0.365 0.250 0.463
V6 0.365 0.750 0.964
V7 0.635 0.250 0.036
V8 0.635 0.750 0.537
V9 0.636 0.250 0.337
V10 0.636 0.750 0.837
V11 0.998 0.250 0.103
V12 0.999 0.750 0.600
O1 0.000 0.250 0.246
O2 0.000 0.250 0.572
O3 0.000 0.250 0.934
O4 0.000 0.750 0.066
O5 0.000 0.750 0.428
O6 0.000 0.750 0.754
O7 0.198 0.250 0.136
O8 0.198 0.250 0.426
O9 0.198 0.750 0.637
O10 0.198 0.750 0.928
O11 0.385 0.250 0.630
O12 0.385 0.750 0.130
O13 0.409 0.250 0.310
O14 0.409 0.750 0.811
O15 0.410 0.750 0.503
O16 0.411 0.250 0.003
O17 0.589 0.750 0.997
O18 0.590 0.250 0.497
O19 0.591 0.250 0.189
O20 0.591 0.750 0.690
O21 0.615 0.250 0.870
O22 0.615 0.750 0.370
O23 0.802 0.250 0.072
O24 0.802 0.250 0.363
O25 0.802 0.750 0.574
O26 0.802 0.750 0.864

Peak list (10 most intense, 5 to 70 degrees two-theta, in order of rising 2θ)
2θ/deg	I (rel.)
14.84	39
17.53	28
24.93	100
26.43	74
29.56	37
32.87	43
44.75	60
48.65	37
58.59	23
68.23	26

***

4.
# V6O13
Computed powder XRD pattern, Cu Kα, 1.54184 Å. Input: a GGA+U-relaxed structure.
Peak positions follow from Bragg's law for the DFT cell and can differ from measured ones.

Structure:
a b c (Å): 6.367 6.367 10.293
angles (deg): 100.45 100.45 34.18
Fractional positions:
V1 0.000 0.000 0.000
V2 0.058 0.058 0.365
V3 0.232 0.232 0.638
V4 0.298 0.298 0.003
V5 0.358 0.358 0.366
V6 0.931 0.931 0.636
O1 0.029 0.029 0.199
O2 0.085 0.085 0.592
O3 0.140 0.140 0.002
O4 0.205 0.205 0.409
O5 0.257 0.257 0.803
O6 0.321 0.321 0.199
O7 0.391 0.391 0.591
O8 0.462 0.462 0.001
O9 0.525 0.525 0.386
O10 0.765 0.765 0.617
O11 0.823 0.823 0.001
O12 0.898 0.898 0.412
O13 0.967 0.967 0.804

Peak list (10 most intense, 5 to 70 degrees two-theta, in order of rising 2θ)
2θ/deg	I (rel.)
14.83	39
17.55	27
24.93	100
26.46	74
29.53	37
32.86	43
44.67	32
44.84	28
48.67	37
58.55	23

***

5.
# VO2
Computed powder XRD pattern, Cu Kα, 1.54184 Å. Input: a GGA+U-relaxed structure.
Peak positions follow from Bragg's law for the DFT cell and can differ from measured ones.

Structure:
a b c (Å): 5.116 5.116 6.274
angles (deg): 90.00 90.00 112.41
Fractional positions:
V1 0.000 0.000 0.000
V2 0.000 0.000 0.500
V3 0.355 0.645 0.750
V4 0.645 0.355 0.250
O1 0.210 0.261 0.750
O2 0.236 0.764 0.535
O3 0.236 0.764 0.965
O4 0.261 0.210 0.250
O5 0.739 0.790 0.750
O6 0.764 0.236 0.035
O7 0.764 0.236 0.465
O8 0.790 0.739 0.250

Peak list (10 most intense, 5 to 70 degrees two-theta, in order of rising 2θ)
2θ/deg	I (rel.)
18.76	25
23.56	93
25.31	60
31.44	50
34.30	100
35.38	57
48.19	22
57.83	25
58.90	20
62.01	46

***

6.
# V7O3
Computed powder XRD pattern, Cu Kα, 1.54184 Å. Input: a GGA+U-relaxed structure.
Peak positions follow from Bragg's law for the DFT cell and can differ from measured ones.

Structure:
a b c (Å): 5.379 5.379 8.847
angles (deg): 92.03 92.03 33.95
Fractional positions:
V1 0.000 0.000 0.000
V2 0.137 0.137 0.582
V3 0.299 0.299 0.128
V4 0.420 0.420 0.730
V5 0.580 0.580 0.270
V6 0.701 0.701 0.872
V7 0.863 0.863 0.418
O1 0.218 0.218 0.354
O2 0.500 0.500 0.500
O3 0.782 0.782 0.646

Peak list (10 most intense, 5 to 70 degrees two-theta, in order of rising 2θ)
2θ/deg	I (rel.)
34.52	7
35.67	36
35.98	100
40.52	87
42.75	5
43.99	29
58.48	13
58.80	13
61.10	20
61.57	17

***

7.
# V10O9
Computed powder XRD pattern, Cu Kα, 1.54184 Å. Input: a GGA+U-relaxed structure.
Peak positions follow from Bragg's law for the DFT cell and can differ from measured ones.

Structure:
a b c (Å): 5.317 6.244 6.937
angles (deg): 103.22 97.24 106.79
Fractional positions:
V1 0.002 0.251 0.002
V2 0.210 0.140 0.396
V3 0.216 0.663 0.408
V4 0.393 0.551 0.802
V5 0.404 0.047 0.788
V6 0.596 0.953 0.212
V7 0.607 0.449 0.198
V8 0.784 0.337 0.592
V9 0.790 0.860 0.604
V10 0.998 0.749 0.998
O1 0.089 0.697 0.696
O2 0.103 0.198 0.693
O3 0.300 0.601 0.103
O4 0.306 0.098 0.092
O5 0.500 0.500 0.500
O6 0.694 0.902 0.908
O7 0.700 0.399 0.897
O8 0.897 0.802 0.307
O9 0.911 0.303 0.304

Peak list (10 most intense, 5 to 70 degrees two-theta, in order of rising 2θ)
2θ/deg	I (rel.)
35.24	24
35.40	23
35.56	23
35.81	23
41.14	50
41.27	100
59.19	15
59.51	14
59.61	14
59.74	14